Record 1
Starting from a GGA-PBE-relaxed structure, the powder X-ray diffraction pattern of Sm12Co6Pb was computed for λ = 1.5418 Å (Cu Kα).

Peak list (10 most intense, 2θ = 5–70°, in order of rising 2θ)
| two_theta | d/Å | I (rel.) | index |
| --- | --- | --- | --- |
| 28.60 | 3.121 | 48 | 3 0 1 |
| 31.40 | 2.849 | 53 | 2 2 2 |
| 33.99 | 2.638 | 100 | 3 1 2 |
| 36.42 | 2.467 | 20 | 4 0 0 |
| 38.71 | 2.326 | 7 | 3 3 0 |
| 46.95 | 1.935 | 27 | 5 0 1 |
| 54.19 | 1.693 | 35 | 5 3 0 |
| 55.90 | 1.645 | 13 | 6 0 0 |
| 57.57 | 1.601 | 39 | 5 2 3 |
| 67.06 | 1.396 | 20 | 5 3 4 |

Structure:
```
data_Sm12Co6Pb
_chemical_formula_sum 'Sm24 Co12 Pb2'
_cell_length_a 9.869
_cell_length_b 9.869
_cell_length_c 9.869
_cell_angle_alpha 90.00
_cell_angle_beta 90.00
_cell_angle_gamma 90.00
_space_group_name_H-M_alt 'I m -3'
_space_group_IT_number 204
_space_group_name_Hall '-I 2 2 3'
loop_
_atom_site_label
_atom_site_type_symbol
_atom_site_fract_x
_atom_site_fract_y
_atom_site_fract_z
_atom_site_occupancy
Sm1 Sm 0.000 0.307 0.193 1
Co1 Co 0.000 0.112 0.500 1
Pb1 Pb 0.000 0.000 0.000 1
```


Record 2
Starting from a GGA-PBE-relaxed structure, the powder X-ray diffraction pattern of CoPd3 was computed for λ = 1.5418 Å (Cu Kα).

Peak list (10 most intense, 2θ = 5–70°, in order of rising 2θ)
| two_theta | d/Å | I (rel.) | index |
| --- | --- | --- | --- |
| 18.65 | 4.757 | 1 | 1 0 0 |
| 27.39 | 3.256 | 6 | 1 0 1 |
| 32.60 | 2.746 | 2 | 1 1 0 |
| 37.82 | 2.379 | 24 | 2 0 0 |
| 40.40 | 2.233 | 27 | 0 0 2 |
| 43.09 | 2.099 | 100 | 2 0 1 |
| 52.85 | 1.732 | 1 | 1 1 2 |
| 55.06 | 1.668 | 1 | 2 1 1 |
| 56.53 | 1.628 | 15 | 2 0 2 |
| 68.30 | 1.373 | 16 | 2 2 0 |

Structure:
```
data_CoPd3
_chemical_formula_sum 'Co2 Pd6'
_cell_length_a 5.4929
_cell_length_b 5.4929
_cell_length_c 4.4652
_cell_angle_alpha 90.00
_cell_angle_beta 90.00
_cell_angle_gamma 120.00
_space_group_name_H-M_alt 'P 63/m m c'
_space_group_IT_number 194
_space_group_name_Hall '-P 6c 2c'
loop_
_atom_site_label
_atom_site_type_symbol
_atom_site_fract_x
_atom_site_fract_y
_atom_site_fract_z
_atom_site_occupancy
Co1 Co 0.3333 0.6667 0.2500 1
Pd1 Pd 0.1698 0.3396 0.7500 1
```


What is the formula in the first record?
Sm12Co6Pb


Please write out number 2 again, unchanged.
Starting from a GGA-PBE-relaxed structure, the powder X-ray diffraction pattern of CoPd3 was computed for λ = 1.5418 Å (Cu Kα).

Peak list (10 most intense, 2θ = 5–70°, in order of rising 2θ)
| two_theta | d/Å | I (rel.) | index |
| --- | --- | --- | --- |
| 18.65 | 4.757 | 1 | 1 0 0 |
| 27.39 | 3.256 | 6 | 1 0 1 |
| 32.60 | 2.746 | 2 | 1 1 0 |
| 37.82 | 2.379 | 24 | 2 0 0 |
| 40.40 | 2.233 | 27 | 0 0 2 |
| 43.09 | 2.099 | 100 | 2 0 1 |
| 52.85 | 1.732 | 1 | 1 1 2 |
| 55.06 | 1.668 | 1 | 2 1 1 |
| 56.53 | 1.628 | 15 | 2 0 2 |
| 68.30 | 1.373 | 16 | 2 2 0 |

Structure:
```
data_CoPd3
_chemical_formula_sum 'Co2 Pd6'
_cell_length_a 5.4929
_cell_length_b 5.4929
_cell_length_c 4.4652
_cell_angle_alpha 90.00
_cell_angle_beta 90.00
_cell_angle_gamma 120.00
_space_group_name_H-M_alt 'P 63/m m c'
_space_group_IT_number 194
_space_group_name_Hall '-P 6c 2c'
loop_
_atom_site_label
_atom_site_type_symbol
_atom_site_fract_x
_atom_site_fract_y
_atom_site_fract_z
_atom_site_occupancy
Co1 Co 0.3333 0.6667 0.2500 1
Pd1 Pd 0.1698 0.3396 0.7500 1
```


What is the formula in the first record?
Sm12Co6Pb